[1]
Ac4HIr2Au: theoretical powder diffractogram (Cu Ka), based on the GGA-PBE geometry in Alexandria.

Structural model:
a = 4.341 Å, b = 14.198 Å, c = 14.941 Å
α = 90.00°, β = 90.00°, γ = 90.00°
Space group Cmcm (No. 63)
Unique sites:
Ac: 0.000 0.000 0.000 x4
Ac: 0.000 0.268 0.115 x8
Ac: 0.000 0.436 0.750 x4
H: 0.000 0.156 0.250 x4
Ir: 0.000 0.369 0.563 x8
Au: 0.000 0.114 0.750 x4

Largest 6 diffraction maxima, by angle, 2θ = 5–70°:
Position (°2θ)	Rel. int.
26.97	70.6
28.53	100.0
30.39	62.8
37.07	42.5
41.60	36.1
42.30	41.4

=====

[2]
Rb2BaIBr6: theoretical powder diffractogram (Cu Ka), based on the GGA-PBE geometry in Alexandria.

Structural model:
a = 9.250 Å, b = 9.250 Å, c = 11.686 Å
α = 90.00°, β = 90.00°, γ = 90.00°
Space group I4/mmm (No. 139)
Unique sites:
Rb: 0.000 0.500 0.250 x4
Ba: 0.000 0.000 0.000 x2
I: 0.000 0.000 0.500 x2
Br: 0.000 0.000 0.273 x4
Br: 0.238 0.238 0.000 x8

Largest 6 diffraction maxima, by angle, 2θ = 5–70°:
Position (°2θ)	Rel. int.
13.54	39.1
24.55	50.2
27.27	100.0
30.59	45.8
38.95	37.3
41.44	62.4

=====

[3]
MgCo2Cu2: theoretical powder diffractogram (Cu Ka), based on the GGA-PBE geometry in Alexandria.

Structural model:
a = 3.377 Å, b = 3.377 Å, c = 12.147 Å
α = 90.00°, β = 90.00°, γ = 90.00°
Space group I4/mmm (No. 139)
Unique sites:
Mg: 0.000 0.000 0.000 x2
Co: 0.000 0.500 0.250 x4
Cu: 0.000 0.000 0.399 x4

Largest 6 diffraction maxima, by angle, 2θ = 5–70°:
Position (°2θ)	Rel. int.
14.59	30.1
27.41	58.9
40.60	100.0
46.02	50.5
48.50	70.9
54.33	45.7

=====

[4]
Ba3SrI8: theoretical powder diffractogram (Cu Ka), based on the GGA-PBE geometry in Alexandria.

Structural model:
a = 8.298 Å, b = 8.298 Å, c = 16.588 Å
α = 90.00°, β = 90.00°, γ = 90.00°
Space group I4/mmm (No. 139)
Unique sites:
Ba: 0.000 0.000 0.000 x2
Ba: 0.000 0.500 0.250 x4
Sr: 0.000 0.000 0.500 x2
I: 0.245 0.245 0.377 x16

Largest 6 diffraction maxima, by angle, 2θ = 5–70°:
Position (°2θ)	Rel. int.
18.52	24.1
21.42	15.1
30.47	100.0
35.90	13.6
43.64	18.3
54.16	38.4

=====

[5]
Cs2HfSb3O12: theoretical powder diffractogram (Cu Ka), based on the GGA-PBE geometry in Alexandria.

Structural model:
a = 7.4612 Å, b = 7.4612 Å, c = 18.6593 Å
α = 90.00°, β = 90.00°, γ = 120.00°
Space group R-3m (No. 166, hexagonal axes)
Unique sites:
Cs: 0.0000 0.0000 0.1252 x6
Hf: 0.0000 0.0000 0.5000 x3
Sb: 0.0000 0.5000 0.0000 x9
O: 0.0689 0.5345 0.3559 x18
O: 0.0707 0.5354 0.1029 x18

Largest 6 diffraction maxima, by angle, 2θ = 5–70°:
Position (°2θ)	Rel. int.
27.60	49.0
27.89	100.0
29.25	53.3
44.52	30.0
48.12	34.4
48.82	34.4

=====

[6]
SmZnTe: theoretical powder diffractogram (Cu Ka), based on the GGA-PBE geometry in Alexandria.

Structural model:
a = 4.6807 Å, b = 4.6807 Å, c = 10.1931 Å
α = 90.00°, β = 90.00°, γ = 120.00°
Space group P-3m1 (No. 164)
Unique sites:
Sm: 0.0000 0.0000 0.1779 x2
Zn: 0.3333 0.6667 0.0130 x2
Te: 0.3333 0.6667 0.3166 x2

Largest 6 diffraction maxima, by angle, 2θ = 5–70°:
Position (°2θ)	Rel. int.
8.68	52.7
23.62	62.5
28.13	36.1
34.44	100.0
38.47	75.9
52.58	29.8

=====

[7]
La2Tb2Nd5: theoretical powder diffractogram (Cu Ka), based on the GGA-PBE geometry in Alexandria.

Structural model:
a = 15.569 Å, b = 5.203 Å, c = 8.193 Å
α = 90.00°, β = 108.43°, γ = 90.00°
Space group C2/m (No. 12)
Unique sites:
La: 0.166 0.000 0.000 x4
Tb: 0.223 0.500 0.337 x4
Nd: 0.000 0.500 0.000 x2
Nd: 0.057 0.000 0.336 x4
Nd: 0.112 0.500 0.665 x4

Largest 6 diffraction maxima, by angle, 2θ = 5–70°:
Position (°2θ)	Rel. int.
29.81	100.0
34.52	33.9
34.62	16.8
49.66	30.3
58.91	14.5
59.06	28.7

=====

[8]
Dy10In3Pb3: theoretical powder diffractogram (Cu Ka), based on the GGA-PBE geometry in Alexandria.

Structural model:
a = 9.0239 Å, b = 9.0239 Å, c = 6.6829 Å
α = 90.00°, β = 90.00°, γ = 120.00°
Space group P-62m (No. 189)
Unique sites:
Dy: 0.0000 0.2359 0.0000 x3
Dy: 0.0000 0.7644 0.5000 x3
Dy: 0.3333 0.6667 0.2556 x4
In: 0.0000 0.3992 0.5000 x3
Pb: 0.0000 0.6013 0.0000 x3

Largest 6 diffraction maxima, by angle, 2θ = 5–70°:
Position (°2θ)	Rel. int.
30.26	29.9
33.16	100.0
33.37	71.5
34.43	32.5
51.37	29.3
65.99	20.0